This entry pairs a crystal structure of NaLaNb2O6 with its calculated X-ray diffraction stick pattern. Radiation: Cu Kα (weighted mean of Kα1 and Kα2). Structure: a cell relaxed with PBE.
Lines closer than 0.1° are merged.

Most intense lines, 10° ≤ 2θ ≤ 80°, in order of rising 2θ:
2θ 18.95, I = 28; 2θ 31.19, I = 100; 2θ 44.69, I = 36; 2θ 55.51, I = 39; 2θ 65.06, I = 21; 2θ 73.91, I = 17

Cell and atoms:
a b c (Å): 5.735 5.735 5.735
angles (deg): 60.00 60.00 60.00
Element x y z (fractional)
Na 0.000 0.000 0.000
La 0.500 0.500 0.500
Nb 0.250 0.250 0.250
Nb 0.750 0.750 0.750
O 0.000 0.000 0.500
O 0.000 0.500 0.000
O 0.000 0.500 0.500
O 0.500 0.000 0.000
O 0.500 0.000 0.500
O 0.500 0.500 0.000


This entry pairs a crystal structure of AsCl3 with its calculated X-ray diffraction stick pattern. Radiation: Cu Kα (weighted mean of Kα1 and Kα2). Structure: a cell relaxed with PBE.
Lines closer than 0.1° are merged.

Most intense lines, 10° ≤ 2θ ≤ 80°, in order of rising 2θ:
2θ 14.48, I = 93; 2θ 17.34, I = 46; 2θ 20.42, I = 71; 2θ 22.21, I = 100; 2θ 26.91, I = 56; 2θ 29.79, I = 46

Cell and atoms:
a b c (Å): 4.653 10.227 12.233
angles (deg): 90.00 90.00 90.00
Element x y z (fractional)
As 0.028 0.199 0.288
As 0.472 0.801 0.788
As 0.528 0.301 0.712
As 0.972 0.699 0.212
Cl 0.236 0.796 0.631
Cl 0.242 0.643 0.875
Cl 0.245 0.030 0.364
Cl 0.255 0.970 0.864
Cl 0.258 0.357 0.375
Cl 0.264 0.204 0.131
Cl 0.736 0.704 0.369
Cl 0.742 0.857 0.125
Cl 0.745 0.470 0.636
Cl 0.755 0.530 0.136
Cl 0.758 0.143 0.625
Cl 0.764 0.296 0.869


This entry pairs a crystal structure of SrEuNbGaO6 with its calculated X-ray diffraction stick pattern. Radiation: Cu Kα (weighted mean of Kα1 and Kα2). Structure: a cell relaxed with PBE.
Lines closer than 0.1° are merged.

Most intense lines, 10° ≤ 2θ ≤ 80°, in order of rising 2θ:
2θ 31.67, I = 100; 2θ 39.04, I = 8; 2θ 45.40, I = 32; 2θ 56.40, I = 39; 2θ 66.14, I = 19; 2θ 75.19, I = 17

Cell and atoms:
a b c (Å): 5.651 5.651 5.651
angles (deg): 60.00 60.00 60.00
Element x y z (fractional)
Sr 0.000 0.000 0.000
Eu 0.500 0.500 0.500
Nb 0.750 0.750 0.750
Ga 0.250 0.250 0.250
O 0.001 0.001 0.499
O 0.001 0.499 0.001
O 0.001 0.499 0.499
O 0.499 0.001 0.001
O 0.499 0.001 0.499
O 0.499 0.499 0.001